[1]
Structure and computed powder X-ray diffraction pattern of Li4Ti3Fe3Sn2O16 (a cell relaxed with GGA+U; Cu Kα X-rays).
Kinematic intensities with the Lorentz-polarization factor, no thermal factor.

Top 10 peaks for 5° ≤ 2θ ≤ 70°, most intense first:
19.27 deg, I 100
35.06 deg, I 73
19.34 deg, I 64
32.39 deg, I 37
34.72 deg, I 35
19.11 deg, I 34
61.47 deg, I 33
35.61 deg, I 30
25.00 deg, I 27
32.19 deg, I 26

Structural model:
a = 6.034 Å, b = 6.034 Å, c = 9.829 Å
α = 90.64°, β = 90.64°, γ = 59.65°
Element x y z (fractional)
Li  0.000  0.000  0.000
Li  0.002  0.002  0.499
Li  0.338  0.338  0.597
Li  0.671  0.671  0.095
Ti  0.168  0.660  0.277
Ti  0.660  0.168  0.277
Ti  0.831  0.831  0.775
Fe  0.173  0.173  0.279
Fe  0.340  0.831  0.779
Fe  0.831  0.340  0.779
Sn  0.333  0.333  0.999
Sn  0.661  0.661  0.502
O  0.041  0.499  0.149
O  0.160  0.160  0.894
O  0.160  0.675  0.890
O  0.321  0.829  0.394
O  0.351  0.351  0.388
O  0.484  0.484  0.158
O  0.499  0.041  0.149
O  0.520  0.520  0.655
O  0.526  0.966  0.653
O  0.675  0.160  0.890
O  0.677  0.677  0.886
O  0.829  0.321  0.394
O  0.834  0.834  0.389
O  0.966  0.526  0.653
O  0.990  0.990  0.186
O  0.996  0.996  0.685

---

[2]
Structure and computed powder X-ray diffraction pattern of Cs3V4Te2ClO14 (a cell relaxed with GGA+U; Cu Kα X-rays).
Kinematic intensities with the Lorentz-polarization factor, no thermal factor.

Top 10 peaks for 5° ≤ 2θ ≤ 70°, most intense first:
24.20 deg, I 100
23.18 deg, I 60
32.07 deg, I 51
31.22 deg, I 41
27.94 deg, I 41
22.24 deg, I 37
25.13 deg, I 36
43.01 deg, I 28
32.30 deg, I 23
20.42 deg, I 20

Structural model:
a = 6.941 Å, b = 24.444 Å, c = 5.580 Å
α = 90.00°, β = 90.00°, γ = 90.00°
Element x y z (fractional)
Cs  0.000  0.000  0.000
Cs  0.153  0.229  0.000
Cs  0.347  0.729  0.500
Cs  0.500  0.500  0.500
Cs  0.653  0.271  0.500
Cs  0.847  0.771  0.000
V  0.063  0.884  0.500
V  0.131  0.363  0.500
V  0.369  0.863  0.000
V  0.437  0.384  0.000
V  0.563  0.616  0.000
V  0.631  0.137  0.000
V  0.869  0.637  0.500
V  0.937  0.116  0.500
Te  0.072  0.584  0.000
Te  0.428  0.084  0.500
Te  0.572  0.916  0.500
Te  0.928  0.416  0.000
Cl  0.000  0.500  0.500
Cl  0.500  0.000  0.000
O  0.002  0.819  0.500
O  0.081  0.635  0.256
O  0.081  0.635  0.744
O  0.149  0.070  0.500
O  0.201  0.298  0.500
O  0.206  0.898  0.248
O  0.206  0.898  0.752
O  0.294  0.398  0.252
O  0.294  0.398  0.748
O  0.299  0.798  0.000
O  0.351  0.570  0.000
O  0.419  0.135  0.244
O  0.419  0.135  0.756
O  0.498  0.319  0.000
O  0.502  0.681  0.000
O  0.581  0.865  0.244
O  0.581  0.865  0.756
O  0.649  0.430  0.000
O  0.701  0.202  0.000
O  0.706  0.602  0.252
O  0.706  0.602  0.748
O  0.794  0.102  0.248
O  0.794  0.102  0.752
O  0.799  0.702  0.500
O  0.851  0.930  0.500
O  0.919  0.365  0.256
O  0.919  0.365  0.744
O  0.998  0.181  0.500

---

[3]
Structure and computed powder X-ray diffraction pattern of Na3NiO2 (a cell relaxed with GGA+U; Cu Kα X-rays).
Kinematic intensities with the Lorentz-polarization factor, no thermal factor.

Top 10 peaks for 5° ≤ 2θ ≤ 70°, most intense first:
34.41 deg, I 100
21.43 deg, I 66
40.38 deg, I 62
39.06 deg, I 45
20.96 deg, I 42
57.44 deg, I 39
23.42 deg, I 35
69.61 deg, I 22
58.44 deg, I 14
18.73 deg, I 14

Structural model:
a = 9.476 Å, b = 9.476 Å, c = 4.612 Å
α = 90.00°, β = 90.00°, γ = 90.00°
Element x y z (fractional)
Na  0.021  0.345  0.000
Na  0.144  0.856  0.500
Na  0.155  0.521  0.500
Na  0.345  0.021  0.000
Na  0.356  0.356  0.000
Na  0.479  0.845  0.500
Na  0.521  0.155  0.500
Na  0.644  0.644  0.000
Na  0.655  0.979  0.000
Na  0.845  0.479  0.500
Na  0.856  0.144  0.500
Na  0.979  0.655  0.000
Ni  0.172  0.172  0.500
Ni  0.328  0.672  0.000
Ni  0.672  0.328  0.000
Ni  0.828  0.828  0.500
O  0.036  0.303  0.500
O  0.197  0.536  0.000
O  0.303  0.036  0.500
O  0.464  0.803  0.000
O  0.536  0.197  0.000
O  0.697  0.964  0.500
O  0.803  0.464  0.000
O  0.964  0.697  0.500

---

[4]
Structure and computed powder X-ray diffraction pattern of Li2Fe2Si3O10 (a cell relaxed with GGA+U; Cu Kα X-rays).
Kinematic intensities with the Lorentz-polarization factor, no thermal factor.

Top 10 peaks for 5° ≤ 2θ ≤ 70°, most intense first:
14.74 deg, I 100
20.11 deg, I 88
14.17 deg, I 87
20.88 deg, I 83
29.68 deg, I 39
28.04 deg, I 30
31.78 deg, I 30
28.56 deg, I 29
27.77 deg, I 28
37.01 deg, I 26

Structural model:
a = 9.818 Å, b = 9.183 Å, c = 12.539 Å
α = 50.93°, β = 46.56°, γ = 82.51°
Element x y z (fractional)
Li  0.212  0.788  0.387
Li  0.637  0.863  0.462
Li  0.788  0.212  0.613
Li  0.863  0.637  0.038
Fe  0.201  0.474  0.755
Fe  0.474  0.201  0.570
Fe  0.495  0.680  0.049
Fe  0.680  0.495  0.776
Si  0.208  0.208  0.292
Si  0.514  0.677  0.279
Si  0.677  0.514  0.530
Si  0.720  0.971  0.573
Si  0.958  0.958  0.042
Si  0.971  0.720  0.736
O  0.072  0.626  0.814
O  0.164  0.974  0.476
O  0.178  0.986  0.857
O  0.271  0.393  0.264
O  0.341  0.653  0.475
O  0.393  0.271  0.072
O  0.436  0.762  0.178
O  0.454  0.520  0.672
O  0.520  0.454  0.354
O  0.578  0.896  0.796
O  0.626  0.072  0.488
O  0.653  0.341  0.532
O  0.718  0.775  0.597
O  0.762  0.436  0.624
O  0.774  0.864  0.086
O  0.775  0.718  0.909
O  0.864  0.774  0.276
O  0.896  0.578  0.730
O  0.974  0.164  0.386
O  0.986  0.178  0.979

---

[5]
Structure and computed powder X-ray diffraction pattern of Li9Co7O16 (a cell relaxed with GGA+U; Cu Kα X-rays).
Kinematic intensities with the Lorentz-polarization factor, no thermal factor.

Top 10 peaks for 5° ≤ 2θ ≤ 70°, most intense first:
18.35 deg, I 100
42.07 deg, I 31
43.06 deg, I 29
45.39 deg, I 23
5.72 deg, I 17
35.00 deg, I 17
35.58 deg, I 15
63.99 deg, I 14
37.14 deg, I 11
61.66 deg, I 9

Structural model:
a = 3.009 Å, b = 6.373 Å, c = 15.458 Å
α = 89.64°, β = 88.78°, γ = 76.70°
Element x y z (fractional)
Li  0.000  0.000  0.000
Li  0.059  0.880  0.187
Li  0.187  0.625  0.562
Li  0.319  0.369  0.939
Li  0.438  0.123  0.313
Li  0.562  0.877  0.687
Li  0.681  0.631  0.061
Li  0.813  0.375  0.438
Li  0.941  0.120  0.813
Co  0.127  0.746  0.375
Co  0.248  0.502  0.752
Co  0.381  0.242  0.120
Co  0.500  0.000  0.500
Co  0.619  0.758  0.880
Co  0.752  0.498  0.248
Co  0.873  0.254  0.625
O  0.019  0.953  0.591
O  0.066  0.796  0.785
O  0.181  0.692  0.960
O  0.236  0.541  0.157
O  0.278  0.449  0.341
O  0.353  0.300  0.534
O  0.391  0.204  0.717
O  0.481  0.033  0.901
O  0.519  0.967  0.099
O  0.609  0.796  0.283
O  0.647  0.700  0.466
O  0.722  0.551  0.659
O  0.764  0.459  0.843
O  0.819  0.308  0.040
O  0.934  0.204  0.215
O  0.981  0.047  0.409